1.
This entry pairs a crystal structure of PmY2Ni6 with its calculated powder diffractogram. Radiation: Cu Kα (weighted mean of Kα1 and Kα2). Structure: the GGA-PBE geometry in Alexandria.
Kinematic intensities with the Lorentz-polarization factor, no thermal factor.

Main lines, in order of rising 2θ (2θ = 15–90°):
Position (°2θ)	d (Å)	intensity	h k l
35.0	2.563	100	1 1 1
45.1	2.009	45	3 0 0
48.0	1.894	13	0 0 2
58.4	1.581	22	2 2 1
68.0	1.378	25	3 0 2
76.7	1.243	19	4 1 1

Crystal structure
```
data_PmY2Ni6
_chemical_formula_sum 'Pm1 Y2 Ni6'
_space_group_name_H-M_alt 'P 6/m m m'
_space_group_IT_number 191
_space_group_name_Hall '-P 6 2'
_cell_length_a 6.9609
_cell_length_b 6.9609
_cell_length_c 3.7883
_cell_angle_alpha 90.00
_cell_angle_beta 90.00
_cell_angle_gamma 120.00
loop_
_atom_site_label
_atom_site_fract_x
_atom_site_fract_y
_atom_site_fract_z
_atom_site_occupancy
Pm1 0.0000 0.0000 0.0000 1
Y1 0.3333 0.6667 0.0000 1
Ni1 0.0000 0.3345 0.5000 1
```


2.
This entry pairs a crystal structure of Pm3Zn2Ni7 with its calculated powder diffractogram. Radiation: Cu Kα (weighted mean of Kα1 and Kα2). Structure: the GGA-PBE geometry in Alexandria.
Kinematic intensities with the Lorentz-polarization factor, no thermal factor.

Main lines, in order of rising 2θ (2θ = 15–90°):
Position (°2θ)	d (Å)	intensity	h k l
32.6	2.744	42	1 0 7
34.7	2.588	54	1 1 0
35.7	2.514	32	0 1 8
40.4	2.232	38	0 2 1
41.4	2.180	100	1 1 6
66.7	1.402	23	0 3 6

Crystal structure
```
data_Pm3Zn2Ni7
_chemical_formula_sum 'Pm9 Zn6 Ni21'
_space_group_name_H-M_alt 'R -3 m'
_space_group_IT_number 166
_space_group_name_Hall '-R 3 2"'
_cell_length_a 5.1753
_cell_length_b 5.1753
_cell_length_c 24.2963
_cell_angle_alpha 90.00
_cell_angle_beta 90.00
_cell_angle_gamma 120.00
loop_
_atom_site_label
_atom_site_fract_x
_atom_site_fract_y
_atom_site_fract_z
_atom_site_occupancy
Pm1 0.0000 0.0000 0.0000 1
Pm2 0.0000 0.0000 0.1397 1
Zn1 0.0000 0.0000 0.3325 1
Ni1 0.0000 0.0000 0.5000 1
Ni2 0.0030 0.5015 0.0825 1
```


3.
This entry pairs a crystal structure of PmZn10Ni2 with its calculated powder diffractogram. Radiation: Cu Kα (weighted mean of Kα1 and Kα2). Structure: the GGA-PBE geometry in Alexandria.
Kinematic intensities with the Lorentz-polarization factor, no thermal factor.

Main lines, in order of rising 2θ (2θ = 15–90°):
Position (°2θ)	d (Å)	intensity	h k l
35.0	2.563	40	1 -1 2
40.4	2.232	99	0 2 2
40.6	2.223	100	1 -2 1
40.7	2.216	41	1 3 0
41.2	2.189	54	2 0 2
41.4	2.181	54	2 2 2

Crystal structure
```
data_PmZn10Ni2
_chemical_formula_sum 'Pm1 Zn10 Ni2'
_space_group_name_H-M_alt 'P -1'
_space_group_IT_number 2
_space_group_name_Hall '-P 1'
_cell_length_a 5.011
_cell_length_b 6.774
_cell_length_c 6.792
_cell_angle_alpha 82.30
_cell_angle_beta 68.46
_cell_angle_gamma 68.63
loop_
_atom_site_label
_atom_site_fract_x
_atom_site_fract_y
_atom_site_fract_z
_atom_site_occupancy
Pm1 0.000 0.000 0.000 1
Zn1 0.000 0.000 0.500 1
Zn2 0.016 0.636 0.333 1
Zn3 0.279 0.229 0.212 1
Zn4 0.348 0.636 0.667 1
Zn5 0.491 0.229 0.788 1
Zn6 0.500 0.000 0.500 1
Ni1 0.000 0.500 0.000 1
Ni2 0.500 0.500 0.000 1
```


4.
This entry pairs a crystal structure of Pm2Zn3Ni with its calculated powder diffractogram. Radiation: Cu Kα (weighted mean of Kα1 and Kα2). Structure: the GGA-PBE geometry in Alexandria.
Kinematic intensities with the Lorentz-polarization factor, no thermal factor.

Main lines, in order of rising 2θ (2θ = 15–90°):
Position (°2θ)	d (Å)	intensity	h k l
23.2	3.830	15	0 1 1
33.8	2.654	100	1 1 1
40.8	2.211	50	0 2 0
54.0	1.699	24	1 2 2
66.0	1.415	24	2 2 0
69.8	1.347	20	1 3 1

Crystal structure
```
data_Pm2Zn3Ni
_chemical_formula_sum 'Pm2 Zn3 Ni1'
_space_group_name_H-M_alt 'P m m 2'
_space_group_IT_number 25
_space_group_name_Hall 'P 2 -2'
_cell_length_a 3.682
_cell_length_b 4.419
_cell_length_c 7.666
_cell_angle_alpha 90.00
_cell_angle_beta 90.00
_cell_angle_gamma 90.00
loop_
_atom_site_label
_atom_site_fract_x
_atom_site_fract_y
_atom_site_fract_z
_atom_site_occupancy
Pm1 0.000 0.000 0.000 1
Pm2 0.000 0.500 0.456 1
Zn1 0.500 0.000 0.636 1
Zn2 0.500 0.500 0.142 1
Zn3 0.500 0.500 0.805 1
Ni1 0.500 0.000 0.305 1
```


5.
This entry pairs a crystal structure of PmZnNi with its calculated powder diffractogram. Radiation: Cu Kα (weighted mean of Kα1 and Kα2). Structure: the GGA-PBE geometry in Alexandria.
Kinematic intensities with the Lorentz-polarization factor, no thermal factor.

Main lines, in order of rising 2θ (2θ = 15–90°):
Position (°2θ)	d (Å)	intensity	h k l
33.9	2.646	56	1 1 2
34.0	2.637	24	2 1 0
34.2	2.623	17	2 0 2
35.9	2.505	100	2 1 1
40.2	2.241	28	0 1 3
44.5	2.037	28	0 2 0

Crystal structure
```
data_PmZnNi
_chemical_formula_sum 'Pm4 Zn4 Ni4'
_space_group_name_H-M_alt 'P n m a'
_space_group_IT_number 62
_space_group_name_Hall '-P 2ac 2n'
_cell_length_a 6.917
_cell_length_b 4.074
_cell_length_c 8.052
_cell_angle_alpha 90.00
_cell_angle_beta 90.00
_cell_angle_gamma 90.00
loop_
_atom_site_label
_atom_site_fract_x
_atom_site_fract_y
_atom_site_fract_z
_atom_site_occupancy
Pm1 0.039 0.250 0.188 1
Zn1 0.142 0.250 0.561 1
Ni1 0.236 0.750 0.381 1
```


6.
This entry pairs a crystal structure of Pm2ZnNi3 with its calculated powder diffractogram. Radiation: Cu Kα (weighted mean of Kα1 and Kα2). Structure: the GGA-PBE geometry in Alexandria.
Kinematic intensities with the Lorentz-polarization factor, no thermal factor.

Main lines, in order of rising 2θ (2θ = 15–90°):
Position (°2θ)	d (Å)	intensity	h k l
24.8	3.590	16	0 2 2
34.2	2.623	100	2 0 4
43.6	2.077	14	0 4 0
43.7	2.071	29	0 2 6
56.5	1.628	15	2 4 4
66.4	1.408	16	4 2 6

Crystal structure
```
data_Pm2ZnNi3
_chemical_formula_sum 'Pm16 Zn8 Ni24'
_space_group_name_H-M_alt 'F m m m'
_space_group_IT_number 69
_space_group_name_Hall '-F 2 2'
_cell_length_a 7.685
_cell_length_b 8.306
_cell_length_c 14.331
_cell_angle_alpha 90.00
_cell_angle_beta 90.00
_cell_angle_gamma 90.00
loop_
_atom_site_label
_atom_site_fract_x
_atom_site_fract_y
_atom_site_fract_z
_atom_site_occupancy
Pm1 0.247 0.000 0.000 1
Pm2 0.250 0.250 0.250 1
Zn1 0.000 0.000 0.334 1
Ni1 0.000 0.000 0.165 1
Ni2 0.000 0.247 0.082 1
```


7.
This entry pairs a crystal structure of Pm3Zn3Ni2 with its calculated powder diffractogram. Radiation: Cu Kα (weighted mean of Kα1 and Kα2). Structure: the GGA-PBE geometry in Alexandria.
Kinematic intensities with the Lorentz-polarization factor, no thermal factor.

Main lines, in order of rising 2θ (2θ = 15–90°):
Position (°2θ)	d (Å)	intensity	h k l
32.6	2.746	100	1 1 4
34.4	2.606	52	1 3 1
35.5	2.532	24	0 0 6
38.4	2.344	34	1 3 3
40.2	2.245	22	0 4 3
41.7	2.168	67	2 0 0

Crystal structure
```
data_Pm3Zn3Ni2
_chemical_formula_sum 'Pm12 Zn12 Ni8'
_space_group_name_H-M_alt 'C m c m'
_space_group_IT_number 63
_space_group_name_Hall '-C 2c 2'
_cell_length_a 4.332
_cell_length_b 10.020
_cell_length_c 15.190
_cell_angle_alpha 90.00
_cell_angle_beta 90.00
_cell_angle_gamma 90.00
loop_
_atom_site_label
_atom_site_fract_x
_atom_site_fract_y
_atom_site_fract_z
_atom_site_occupancy
Pm1 0.000 0.082 0.105 1
Pm2 0.000 0.368 0.250 1
Zn1 0.000 0.334 0.750 1
Zn2 0.000 0.370 0.038 1
Ni1 0.000 0.207 0.606 1
```


8.
This entry pairs a crystal structure of Pm3Zn2Ni with its calculated powder diffractogram. Radiation: Cu Kα (weighted mean of Kα1 and Kα2). Structure: the GGA-PBE geometry in Alexandria.
Kinematic intensities with the Lorentz-polarization factor, no thermal factor.

Main lines, in order of rising 2θ (2θ = 15–90°):
Position (°2θ)	d (Å)	intensity	h k l
24.7	3.598	16	1 0 0
35.3	2.544	100	1 1 0
50.7	1.801	12	2 0 0
63.3	1.470	24	2 1 3
63.4	1.467	11	1 1 6
85.2	1.139	10	3 1 0

Crystal structure
```
data_Pm3Zn2Ni
_chemical_formula_sum 'Pm3 Zn2 Ni1'
_space_group_name_H-M_alt 'P 4/m m m'
_space_group_IT_number 123
_space_group_name_Hall '-P 4 2'
_cell_length_a 3.602
_cell_length_b 3.602
_cell_length_c 10.773
_cell_angle_alpha 90.00
_cell_angle_beta 90.00
_cell_angle_gamma 90.00
loop_
_atom_site_label
_atom_site_fract_x
_atom_site_fract_y
_atom_site_fract_z
_atom_site_occupancy
Pm1 0.000 0.000 0.000 1
Pm2 0.000 0.000 0.346 1
Zn1 0.500 0.500 0.170 1
Ni1 0.500 0.500 0.500 1
```


Please write out number 5 again, unchanged.
This entry pairs a crystal structure of PmZnNi with its calculated powder diffractogram. Radiation: Cu Kα (weighted mean of Kα1 and Kα2). Structure: the GGA-PBE geometry in Alexandria.
Kinematic intensities with the Lorentz-polarization factor, no thermal factor.

Main lines, in order of rising 2θ (2θ = 15–90°):
Position (°2θ)	d (Å)	intensity	h k l
33.9	2.646	56	1 1 2
34.0	2.637	24	2 1 0
34.2	2.623	17	2 0 2
35.9	2.505	100	2 1 1
40.2	2.241	28	0 1 3
44.5	2.037	28	0 2 0

Crystal structure
```
data_PmZnNi
_chemical_formula_sum 'Pm4 Zn4 Ni4'
_space_group_name_H-M_alt 'P n m a'
_space_group_IT_number 62
_space_group_name_Hall '-P 2ac 2n'
_cell_length_a 6.917
_cell_length_b 4.074
_cell_length_c 8.052
_cell_angle_alpha 90.00
_cell_angle_beta 90.00
_cell_angle_gamma 90.00
loop_
_atom_site_label
_atom_site_fract_x
_atom_site_fract_y
_atom_site_fract_z
_atom_site_occupancy
Pm1 0.039 0.250 0.188 1
Zn1 0.142 0.250 0.561 1
Ni1 0.236 0.750 0.381 1
```


Question: What is the formula in the fourth record?
Answer: Pm2Zn3Ni